Sm5Bi2C2: computed powder diffraction line list (Cu Ka), based on a crystal structure in Alexandria, relaxed with PBE.

Most intense lines, 10° ≤ 2θ ≤ 90°, in order of rising 2θ:
- hkl 4 2 0, 2θ = 30.50°, intensity 100
- hkl 4 0 2, 2θ = 31.17°, intensity 92
- hkl 6 1 1, 2θ = 31.84°, intensity 44
- hkl 8 0 0, 2θ = 35.16°, intensity 39
- hkl 0 2 2, 2θ = 36.05°, intensity 76
- hkl 8 2 2, 2θ = 51.24°, intensity 37

Atomic structure:
```
data_Sm5Bi2C2
_chemical_formula_sum 'Sm20 Bi8 C8'
_cell_length_a 20.418
_cell_length_b 7.159
_cell_length_c 6.939
_cell_angle_alpha 90.00
_cell_angle_beta 90.00
_cell_angle_gamma 90.00
_symmetry_space_group_name_H-M 'I m a 2'
_symmetry_Int_Tables_number 46
_symmetry_space_group_name_Hall 'I 2 -2a'
loop_
_atom_site_label
_atom_site_fract_x
_atom_site_fract_y
_atom_site_fract_z
Sm1 0.004 0.250 0.000
Sm2 0.139 0.521 0.257
Sm3 0.250 0.124 0.358
Bi1 0.110 0.513 0.748
C1 0.000 0.000 0.747
C2 0.250 0.079 0.704
```